Computed X-ray powder pattern of Li4Co3Cu3Te2O16 for Cu Kα X-rays, from a cell relaxed with GGA+U.

Crystal structure
abc: 5.8308 5.8611 9.6559
angles: 91.38 91.93 117.97
Fractional positions:
Li: 0.0000 0.0000 0.0000
Li: 0.0170 0.9788 0.5014
Li: 0.3395 0.6860 0.0716
Li: 0.6971 0.3190 0.5717
Co: 0.6663 0.8285 0.7705
Co: 0.8407 0.1583 0.2717
Co: 0.8467 0.6517 0.2708
Cu: 0.1661 0.8170 0.7731
Cu: 0.1830 0.3337 0.7717
Cu: 0.3524 0.1659 0.2728
Te: 0.3663 0.6480 0.5002
Te: 0.6683 0.3509 0.0020
O: 0.0166 0.9798 0.1917
O: 0.0683 0.4734 0.6246
O: 0.1670 0.7857 0.4019
O: 0.2030 0.3066 0.3994
O: 0.3276 0.1923 0.9025
O: 0.3515 0.6630 0.8593
O: 0.5008 0.9533 0.6361
O: 0.5072 0.0549 0.1312
O: 0.5640 0.5517 0.6349
O: 0.5679 0.5452 0.1344
O: 0.6796 0.3415 0.3634
O: 0.6810 0.8181 0.3897
O: 0.8024 0.1512 0.9022
O: 0.8362 0.6657 0.8910
O: 0.9762 0.4879 0.1383
O: 0.9988 0.9957 0.6941

Largest 8 diffraction maxima, low angle first, 2θ = 10–90°:
- 2θ 19.12, d 4.641, rel. 82, hkl 0 1 -1
- 2θ 19.89, d 4.464, rel. 96, hkl -1 1 1
- 2θ 20.00, d 4.439, rel. 100, hkl 1 -1 1
- 2θ 24.67, d 3.609, rel. 45, hkl 1 0 -2
- 2θ 32.11, d 2.788, rel. 41, hkl 0 1 -3
- 2θ 35.52, d 2.527, rel. 54, hkl 0 2 -1
- 2θ 36.59, d 2.456, rel. 41, hkl 2 -1 2
- 2θ 58.37, d 1.581, rel. 34, hkl 2 0 -5